[1]
The following is a theoretical powder XRD pattern of Ba2LiAl3. It was derived from a structure optimized by DFT (GGA-PBE), using CuKα.
Lines closer than 0.1° are merged.

Principal peaks in the range 2θ = 10–80°, by angle:
- d = 4.404 Å, I 61.1, hkl 1 1 0
- d = 4.011 Å, I 48.2, hkl 0 0 2
- d = 3.479 Å, I 100.0, hkl 1 1 -2
- d = 3.396 Å, I 69.0, hkl 2 1 -1
- d = 2.875 Å, I 25.6, hkl 3 0 -1
- d = 2.686 Å, I 26.2, hkl 0 2 0
- d = 2.592 Å, I 50.3, hkl 2 1 1
- d = 2.564 Å, I 24.4, hkl 3 0 -3
- d = 2.232 Å, I 29.8, hkl 0 2 2
- d = 1.855 Å, I 28.7, hkl 3 2 -3

Crystal structure
Lattice parameters (Å, degrees): 8.765 5.372 9.138 90.00 118.60 90.00
Space group P2_1/m (No. 11)
Unique sites:
Ba  0.031  0.250  0.204 [2 per cell]
Ba  0.326  0.250  0.796 [2 per cell]
Li  0.206  0.750  0.500 [2 per cell]
Al  0.281  0.750  0.216 [2 per cell]
Al  0.436  0.250  0.216 [2 per cell]
Al  0.500  0.000  0.500 [2 per cell]


[2]
The following is a theoretical powder XRD pattern of Li6Mg8Cu. It was derived from a structure optimized by DFT (GGA-PBE), using CuKα.
Lines closer than 0.1° are merged.

Principal peaks in the range 2θ = 10–80°, by angle:
- d = 7.241 Å, I 100.0, hkl 1 0 0
- d = 4.289 Å, I 44.7, hkl 0 1 1
- d = 4.181 Å, I 16.4, hkl 1 1 0
- d = 3.288 Å, I 36.6, hkl 1 1 1
- d = 2.994 Å, I 21.2, hkl 0 2 1
- d = 2.434 Å, I 84.7, hkl 1 2 1
- d = 2.414 Å, I 15.4, hkl 3 0 0
- d = 2.145 Å, I 19.4, hkl 2 0 2
- d = 1.908 Å, I 34.6, hkl 3 -1 2
- d = 1.580 Å, I 17.5, hkl 4 1 0

Crystal structure
Lattice parameters (Å, degrees): 8.3613 8.3613 5.3235 90.00 90.00 120.00
Space group P-3 (No. 147)
Unique sites:
Li  0.0919  0.6284  0.2709 [6 per cell]
Mg  0.0402  0.7800  0.7765 [6 per cell]
Mg  0.3333  0.6667  0.7802 [2 per cell]
Cu  0.0000  0.0000  0.5000 [1 per cell]


[3]
The following is a theoretical powder XRD pattern of Pr2Sm2Se3S2. It was derived from a structure optimized by DFT (GGA-PBE), using CuKα.
Lines closer than 0.1° are merged.

Principal peaks in the range 2θ = 10–80°, by angle:
- d = 3.638 Å, I 50.9, hkl 0 0 4
- d = 3.547 Å, I 36.3, hkl 1 1 2
- d = 2.872 Å, I 100.0, hkl 2 0 0
- d = 2.596 Å, I 31.1, hkl 1 0 5
- d = 2.254 Å, I 56.1, hkl 2 0 4
- d = 2.031 Å, I 36.6, hkl 2 2 0
- d = 1.926 Å, I 25.3, hkl 2 1 5
- d = 1.773 Å, I 27.0, hkl 2 2 4
- d = 1.285 Å, I 24.5, hkl 4 2 0
- d = 1.211 Å, I 15.8, hkl 4 2 4

Crystal structure
Lattice parameters (Å, degrees): 5.745 5.745 14.551 90.00 90.00 90.00
Space group I4/mmm (No. 139)
Unique sites:
Pr  0.000  0.000  0.214 [4 per cell]
Sm  0.000  0.500  0.000 [4 per cell]
Se  0.000  0.000  0.000 [2 per cell]
Se  0.000  0.500  0.250 [4 per cell]
S  0.000  0.000  0.403 [4 per cell]


[4]
The following is a theoretical powder XRD pattern of PuHfPd6. It was derived from a structure optimized by DFT (GGA-PBE), using CuKα.
Lines closer than 0.1° are merged.

Principal peaks in the range 2θ = 10–80°, by angle:
- d = 4.099 Å, I 3.5, hkl 0 0 2
- d = 4.076 Å, I 6.5, hkl 1 0 0
- d = 2.888 Å, I 8.6, hkl 1 1 0
- d = 2.358 Å, I 100.0, hkl 1 1 2
- d = 2.050 Å, I 16.0, hkl 0 0 4
- d = 2.038 Å, I 32.8, hkl 2 0 0
- d = 1.445 Å, I 20.7, hkl 2 0 4
- d = 1.441 Å, I 10.7, hkl 2 2 0
- d = 1.235 Å, I 11.7, hkl 1 1 6
- d = 1.230 Å, I 24.9, hkl 3 1 2

Crystal structure
Lattice parameters (Å, degrees): 4.076 4.076 8.199 90.00 90.00 90.00
Space group P4/mmm (No. 123)
Unique sites:
Pu  0.000  0.000  0.000 [1 per cell]
Hf  0.000  0.000  0.500 [1 per cell]
Pd  0.000  0.500  0.263 [4 per cell]
Pd  0.500  0.500  0.000 [1 per cell]
Pd  0.500  0.500  0.500 [1 per cell]


[5]
The following is a theoretical powder XRD pattern of Li6GeAu3. It was derived from a structure optimized by DFT (GGA-PBE), using CuKα.
Lines closer than 0.1° are merged.

Principal peaks in the range 2θ = 10–80°, by angle:
- d = 6.819 Å, I 33.0, hkl 1 0 0
- d = 4.683 Å, I 41.5, hkl 1 0 -2
- d = 3.409 Å, I 49.7, hkl 2 0 0
- d = 3.317 Å, I 24.1, hkl 1 1 1
- d = 3.291 Å, I 55.5, hkl 1 1 -2
- d = 3.279 Å, I 100.0, hkl 0 1 2
- d = 2.314 Å, I 41.8, hkl 0 2 0
- d = 2.188 Å, I 61.0, hkl 1 1 -4
- d = 2.132 Å, I 54.7, hkl 3 1 -2
- d = 2.115 Å, I 34.9, hkl 2 1 2

Crystal structure
Lattice parameters (Å, degrees): 7.285 4.628 9.930 90.00 110.60 90.00
Space group P2_1/m (No. 11)
Unique sites:
Li  0.088  0.250  0.219 [2 per cell]
Li  0.106  0.750  0.579 [2 per cell]
Li  0.291  0.250  0.030 [2 per cell]
Li  0.300  0.750  0.877 [2 per cell]
Li  0.308  0.750  0.368 [2 per cell]
Li  0.311  0.250  0.538 [2 per cell]
Ge  0.086  0.250  0.722 [2 per cell]
Au  0.106  0.750  0.085 [2 per cell]
Au  0.478  0.250  0.832 [2 per cell]
Au  0.495  0.250  0.339 [2 per cell]


[6]
The following is a theoretical powder XRD pattern of Zn3Tc5. It was derived from a structure optimized by DFT (GGA-PBE), using CuKα.
Lines closer than 0.1° are merged.

Principal peaks in the range 2θ = 10–80°, by angle:
- d = 2.448 Å, I 29.3, hkl 4 0 0
- d = 2.401 Å, I 21.6, hkl 2 0 -2
- d = 2.364 Å, I 26.5, hkl 3 3 -1
- d = 2.190 Å, I 59.6, hkl 2 4 0
- d = 2.155 Å, I 49.2, hkl 4 0 -2
- d = 2.129 Å, I 100.0, hkl 2 4 -1
- d = 1.973 Å, I 48.2, hkl 0 2 2
- d = 1.814 Å, I 17.7, hkl 3 3 1
- d = 1.701 Å, I 17.8, hkl 1 5 1
- d = 1.328 Å, I 15.2, hkl 4 4 -3

Crystal structure
Lattice parameters (Å, degrees): 10.898 9.793 4.801 90.00 116.02 90.00
Space group C2/c (No. 15)
Unique sites:
Zn  0.000  0.001  0.250 [4 per cell]
Zn  0.178  0.322  0.675 [8 per cell]
Tc  0.000  0.500  0.250 [4 per cell]
Tc  0.069  0.242  0.067 [8 per cell]
Tc  0.242  0.070  0.744 [8 per cell]


[7]
The following is a theoretical powder XRD pattern of CeNb2ReC4. It was derived from a structure optimized by DFT (GGA-PBE), using CuKα.
Lines closer than 0.1° are merged.

Principal peaks in the range 2θ = 10–80°, by angle:
- d = 5.602 Å, I 30.8, hkl 0 0 2
- d = 2.876 Å, I 45.1, hkl 0 4 0
- d = 2.801 Å, I 53.4, hkl 0 0 4
- d = 2.785 Å, I 23.3, hkl 0 4 1
- d = 2.753 Å, I 100.0, hkl 1 1 2
- d = 2.436 Å, I 20.1, hkl 1 3 1
- d = 2.279 Å, I 99.6, hkl 1 3 2
- d = 2.006 Å, I 26.2, hkl 0 4 4
- d = 1.683 Å, I 18.7, hkl 1 5 3
- d = 1.427 Å, I 25.0, hkl 2 4 0

Crystal structure
Lattice parameters (Å, degrees): 3.287 11.503 11.204 90.00 90.00 90.00
Space group Cmcm (No. 63)
Unique sites:
Ce  0.000  0.102  0.250 [4 per cell]
Nb  0.000  0.373  0.037 [8 per cell]
Re  0.000  0.161  0.750 [4 per cell]
C  0.000  0.000  0.000 [4 per cell]
C  0.000  0.266  0.613 [8 per cell]
C  0.000  0.438  0.250 [4 per cell]


[8]
The following is a theoretical powder XRD pattern of La8SeS6. It was derived from a structure optimized by DFT (GGA-PBE), using CuKα.
Lines closer than 0.1° are merged.

Principal peaks in the range 2θ = 10–80°, by angle:
- d = 3.337 Å, I 87.1, hkl 2 -1 1
- d = 3.137 Å, I 43.5, hkl 0 2 1
- d = 3.067 Å, I 100.0, hkl 3 0 0
- d = 2.701 Å, I 40.5, hkl 3 -1 1
- d = 2.258 Å, I 46.2, hkl 2 2 1
- d = 2.144 Å, I 17.2, hkl 0 0 2
- d = 1.894 Å, I 31.6, hkl 3 2 1
- d = 1.819 Å, I 20.0, hkl 5 -4 1
- d = 1.757 Å, I 28.1, hkl 0 3 2
- d = 1.257 Å, I 18.2, hkl 8 -5 1

Crystal structure
Lattice parameters (Å, degrees): 10.6257 10.6257 4.2882 90.00 90.00 120.00
Space group P-3 (No. 147)
Unique sites:
La  0.0354  0.3359  0.2414 [6 per cell]
La  0.3333  0.6667  0.7524 [2 per cell]
Se  0.0000  0.0000  0.0000 [1 per cell]
S  0.1336  0.6515  0.2538 [6 per cell]